# Er7C2I12N
Theoretical X-ray powder pattern, a wavelength of 1.5418 Å. Input: a structure optimized by DFT (PBE).
Peak positions follow from Bragg's law for the DFT cell and can differ from measured ones.

Largest 6 diffraction maxima, in order of falling intensity, 5 to 70 degrees two-theta:
| (hkl) | d_spacing | 2θ (°) | Rel. int. |
| --- | --- | --- | --- |
| 0 2 -5 | 3.042 | 29.36 | 100 |
| -3 2 1 | 3.118 | 28.63 | 54 |
| 0 1 -1 | 9.136 | 9.68 | 34 |
| 1 -1 0 | 8.418 | 10.51 | 30 |
| 1 0 7 | 2.185 | 41.32 | 28 |
| 3 -4 4 | 2.178 | 41.45 | 28 |

Atomic structure:
```
Er7C2I12N
1.0
9.8532 0.0000 0.0000
-4.0867 9.6701 0.0000
-0.8858 -3.9981 16.3586
Er C I N
14 4 24 2
Cartesian
-1.7277 3.4712 2.9325 Er
-1.1822 -0.3254 11.2999 Er
-1.3385 0.4515 16.0454 Er
-0.9665 3.7133 6.3032 Er
-1.0826 6.7194 2.4570 Er
-0.3156 7.1108 5.8110 Er
1.7566 4.5563 3.8667 Er
3.1240 1.1158 12.4919 Er
5.1963 -1.4387 10.5476 Er
5.9632 -1.0474 13.9016 Er
5.8472 1.9587 10.0554 Er
6.2192 5.2206 0.3131 Er
6.0629 5.9975 5.0586 Er
6.6084 2.2008 13.4261 Er
-1.6985 5.4384 4.6449 C
-0.3174 5.1045 4.3512 C
5.1981 0.5675 12.0074 C
6.5791 0.2336 11.7137 C
-0.9135 -2.0151 13.9035 I
-3.0634 4.4576 11.3980 I
-1.0488 1.6610 8.9936 I
1.1012 -1.3833 6.7331 I
-2.2064 4.0689 15.8656 I
0.9674 2.3681 1.7993 I
-0.0510 1.8992 13.2875 I
1.9967 -1.1746 10.8594 I
-0.0401 5.6752 8.4782 I
1.9187 2.6511 6.1256 I
4.0147 -0.3761 3.7878 I
1.7968 6.2781 1.2368 I
3.0839 -0.6060 15.1218 I
0.8660 6.0481 12.5708 I
2.9620 3.0209 10.2329 I
4.9208 -0.0032 7.8803 I
2.8840 6.8467 5.4991 I
4.9317 3.7728 3.0711 I
3.9133 3.3040 14.5593 I
7.0871 1.6032 0.4929 I
3.7795 7.0554 9.6255 I
5.9295 4.0110 7.3649 I
7.9441 1.2145 4.9606 I
5.7942 7.6871 2.4551 I
-1.7352 4.9654 1.3774 N
6.6159 0.7066 14.9812 N
```